Simulated X-ray powder pattern
Compound: Ca3Al7Cd2
Radiation: Cu Kα X-rays
Structure: a crystal structure in Alexandria, relaxed with GGA-PBE

Structural model:
```
data_Ca3Al7Cd2
_chemical_formula_sum 'Ca9 Al21 Cd6'
_symmetry_space_group_name_H-M 'R -3 m'
_symmetry_Int_Tables_number 166
_symmetry_space_group_name_Hall '-R 3 2"'
_cell_length_a 5.6825
_cell_length_b 5.6825
_cell_length_c 27.6433
_cell_angle_alpha 90.00
_cell_angle_beta 90.00
_cell_angle_gamma 120.00
loop_
_atom_site_label
_atom_site_fract_x
_atom_site_fract_y
_atom_site_fract_z
Ca1 0.0000 0.0000 0.0000
Ca2 0.0000 0.0000 0.1427
Al1 0.0000 0.0000 0.5000
Al2 0.0078 0.5039 0.9137
Cd1 0.0000 0.0000 0.3358
```

Most intense lines, 2θ = 5–70°, by angle:
2theta  I_rel  (hkl)
9.60  59  0 0 3
18.31  16  1 0 1
19.27  19  0 0 6
31.49  53  1 1 0
32.99  25  1 1 3
37.18  100  1 1 6
39.10  17  0 0 12
43.37  24  1 1 9
59.84  37  0 3 6
65.73  16  2 2 0

Simulated X-ray powder pattern
Compound: Zr2TeS2
Radiation: Cu Kα X-rays
Structure: a crystal structure in Alexandria, relaxed with GGA-PBE

Structural model:
```
data_Zr2TeS2
_chemical_formula_sum 'Zr4 Te2 S4'
_symmetry_space_group_name_H-M 'I m m m'
_symmetry_Int_Tables_number 71
_symmetry_space_group_name_Hall '-I 2 2'
_cell_length_a 3.8054
_cell_length_b 5.0919
_cell_length_c 12.2789
_cell_angle_alpha 90.00
_cell_angle_beta 90.00
_cell_angle_gamma 90.00
loop_
_atom_site_label
_atom_site_fract_x
_atom_site_fract_y
_atom_site_fract_z
Zr1 0.0000 0.0000 0.1841
Te1 0.0000 0.5000 0.5000
S1 0.0000 0.5000 0.1698
```

Most intense lines, 2θ = 5–70°, by angle:
2theta  I_rel  (hkl)
18.87  76  0 1 1
32.12  100  1 0 3
32.80  64  1 1 2
35.25  41  0 2 0
40.79  24  0 1 5
44.26  17  0 0 6
47.80  17  2 0 0
48.43  61  1 2 3
57.82  18  0 2 6
60.77  16  2 2 0

Simulated X-ray powder pattern
Compound: Ti2In5Pd12
Radiation: Cu Kα X-rays
Structure: a crystal structure in Alexandria, relaxed with GGA-PBE

Structural model:
```
data_Ti2In5Pd12
_chemical_formula_sum 'Ti4 In10 Pd24'
_symmetry_space_group_name_H-M 'C 1 2/m 1'
_symmetry_Int_Tables_number 12
_cell_length_a 13.1986
_cell_length_b 7.6167
_cell_length_c 6.5129
_cell_angle_alpha 90.00
_cell_angle_beta 90.93
_cell_angle_gamma 90.00
loop_
_symmetry_equiv_pos_as_xyz
'x,y,z'
'-x,-y,-z'
'-x,y,-z'
'x,-y,z'
'x+1/2,y+1/2,z'
'-x+1/2,-y+1/2,-z'
'-x+1/2,y+1/2,-z'
'x+1/2,-y+1/2,z'
loop_
_atom_site_label
_atom_site_fract_x
_atom_site_fract_y
_atom_site_fract_z
Ti1 0.0000 0.2241 0.0000
In1 0.0000 0.5000 0.5000
In2 0.1929 0.0000 0.9659
In3 0.2434 0.5000 0.5717
Pd1 0.0493 0.0000 0.2887
Pd2 0.0997 0.5000 0.8960
Pd3 0.1140 0.2046 0.6434
Pd4 0.1629 0.3047 0.2319
```

Most intense lines, 2θ = 5–70°, by angle:
2theta  I_rel  (hkl)
36.02  27  4 2 0
36.30  20  0 2 2
36.56  40  3 1 2
38.46  56  5 1 -1
38.68  100  2 2 -2
38.83  62  4 2 1
43.55  15  3 3 1
43.80  16  1 1 -3
44.13  14  2 0 3
47.76  24  0 4 0

Simulated X-ray powder pattern
Compound: K3NaCd6
Radiation: Cu Kα X-rays
Structure: a crystal structure in Alexandria, relaxed with GGA-PBE

Structural model:
```
data_K3NaCd6
_chemical_formula_sum 'K6 Na2 Cd12'
_symmetry_space_group_name_H-M 'C 1 2/m 1'
_symmetry_Int_Tables_number 12
_cell_length_a 12.7743
_cell_length_b 7.2042
_cell_length_c 7.7227
_cell_angle_alpha 90.00
_cell_angle_beta 110.82
_cell_angle_gamma 90.00
loop_
_symmetry_equiv_pos_as_xyz
'x,y,z'
'-x,-y,-z'
'-x,y,-z'
'x,-y,z'
'x+1/2,y+1/2,z'
'-x+1/2,-y+1/2,-z'
'-x+1/2,y+1/2,-z'
'x+1/2,-y+1/2,z'
loop_
_atom_site_label
_atom_site_fract_x
_atom_site_fract_y
_atom_site_fract_z
K1 0.0000 0.0000 0.0000
K2 0.0211 0.5000 0.7592
Na1 0.0000 0.0000 0.5000
Cd1 0.2368 0.0000 0.4529
Cd2 0.2493 0.2967 0.1875
```

Most intense lines, 2θ = 5–70°, by angle:
2theta  I_rel  (hkl)
14.84  100  2 0 0
27.68  19  0 2 1
29.33  19  2 2 -1
29.93  43  4 0 0
30.92  18  1 1 2
33.63  15  2 2 1
34.61  22  2 2 -2
34.90  17  2 0 -3
35.20  17  0 2 2
40.34  14  4 2 -2

Number 3 is which compound?
Ti2In5Pd12